1.
Starting from the GGA-PBE geometry in Alexandria, the powder X-ray diffraction pattern of Pm2Nd6SmMg was calculated for Cu Kα, 1.54184 Å.
Lines closer than 0.1° are merged.

Atomic structure:
Lattice parameters (Å, degrees): 9.375 15.611 9.322 90.00 93.47 90.00
Space group C2/c (No. 15)
Unique sites:
Pm  0.231  0.054  0.449 x8
Nd  0.039  0.322  0.945 x8
Nd  0.111  0.114  0.102 x8
Nd  0.217  0.288  0.294 x8
Sm  0.000  0.475  0.250 x4
Mg  0.000  0.078  0.750 x4

Top 10 peaks for 2θ = 10–90°, low angle first:
Position (°2θ), d (Å), I_rel, index
27.83, 3.205, 32, 1 3 2
28.61, 3.120, 23, 2 2 -2
29.19, 3.059, 11, 3 1 0
29.86, 2.992, 11, 0 4 2
30.18, 2.961, 100, 2 2 2
31.01, 2.884, 59, 0 2 3
31.52, 2.838, 17, 1 5 -1
34.52, 2.598, 17, 1 3 -3
39.68, 2.271, 13, 3 3 2
50.98, 1.791, 11, 1 1 5


2.
Starting from the GGA-PBE geometry in Alexandria, the powder X-ray diffraction pattern of Tb2Pm2Nd4Mg was calculated for Cu Kα, 1.54184 Å.
Lines closer than 0.1° are merged.

Atomic structure:
Lattice parameters (Å, degrees): 5.891 6.768 8.771 80.50 70.92 65.45
Space group P-1 (No. 2)
Unique sites:
Tb  0.173  0.227  0.036 x2
Pm  0.429  0.885  0.712 x2
Nd  0.214  0.483  0.618 x2
Nd  0.273  0.694  0.171 x2
Mg  0.000  0.000  0.500 x1

Top 10 peaks for 2θ = 10–90°, low angle first:
Position (°2θ), d (Å), I_rel, index
30.36, 2.944, 54, 2 1 1
30.66, 2.916, 54, 0 2 1
31.38, 2.850, 100, 1 -1 2
31.67, 2.825, 48, 1 2 -1
31.80, 2.814, 51, 1 1 3
43.15, 2.097, 16, 2 -1 0
44.21, 2.049, 18, 2 3 2
46.75, 1.943, 17, 0 1 -4
54.35, 1.688, 15, 3 0 3
56.77, 1.622, 15, 2 0 5


3.
Starting from the GGA-PBE geometry in Alexandria, the powder X-ray diffraction pattern of TbPm4Nd2Mg was calculated for Cu Kα, 1.54184 Å.
Lines closer than 0.1° are merged.

Atomic structure:
Lattice parameters (Å, degrees): 5.058 5.068 10.251 90.00 90.00 90.00
Space group Pmmm (No. 47)
Unique sites:
Tb  0.000  0.000  0.000 x1
Pm  0.000  0.500  0.253 x2
Pm  0.500  0.000  0.252 x2
Nd  0.000  0.000  0.500 x1
Nd  0.500  0.500  0.000 x1
Mg  0.500  0.500  0.500 x1

Top 10 peaks for 2θ = 10–90°, low angle first:
Position (°2θ), d (Å), I_rel, index
30.46, 2.935, 100, 1 1 2
35.01, 2.563, 17, 0 0 4
35.46, 2.532, 33, 2 0 0
50.69, 1.801, 24, 2 0 4
51.02, 1.790, 12, 2 2 0
60.00, 1.542, 14, 1 1 6
60.54, 1.529, 14, 1 3 2
60.64, 1.527, 14, 3 1 2
63.38, 1.468, 12, 2 2 4
82.58, 1.168, 12, 3 1 6


4.
Starting from the GGA-PBE geometry in Alexandria, the powder X-ray diffraction pattern of Pm2Nd6Tm3Mg was calculated for Cu Kα, 1.54184 Å.
Lines closer than 0.1° are merged.

Atomic structure:
Lattice parameters (Å, degrees): 6.231 10.802 11.840 90.00 100.14 90.00
Space group C2/m (No. 12)
Unique sites:
Pm  0.000  0.167  0.000 x4
Nd  0.248  0.500  0.746 x4
Nd  0.249  0.334  0.253 x8
Tm  0.000  0.000  0.500 x2
Tm  0.000  0.334  0.500 x4
Mg  0.000  0.500  0.000 x2

Top 10 peaks for 2θ = 10–90°, low angle first:
Position (°2θ), d (Å), I_rel, index
30.45, 2.936, 100, 1 3 1
30.68, 2.914, 32, 0 0 4
35.37, 2.538, 67, 2 0 2
50.73, 1.799, 24, 0 6 0
51.04, 1.789, 24, 1 3 5
60.33, 1.534, 14, 4 0 0
60.47, 1.531, 28, 3 3 3
60.74, 1.525, 14, 2 0 6
63.36, 1.468, 12, 2 6 2
85.34, 1.137, 11, 5 3 1


5.
Starting from the GGA-PBE geometry in Alexandria, the powder X-ray diffraction pattern of PmNd2TmMg was calculated for Cu Kα, 1.54184 Å.
Lines closer than 0.1° are merged.

Atomic structure:
Lattice parameters (Å, degrees): 5.927 7.450 7.397 90.00 90.00 90.00
Space group Pmma (No. 51)
Unique sites:
Pm  0.250  0.000  0.156 x2
Nd  0.250  0.218  0.689 x4
Tm  0.250  0.500  0.369 x2
Mg  0.000  0.500  0.000 x2

Top 10 peaks for 2θ = 10–90°, low angle first:
Position (°2θ), d (Å), I_rel, index
11.96, 7.397, 12, 0 0 1
16.89, 5.249, 19, 0 1 1
24.06, 3.698, 12, 0 0 2
30.16, 2.963, 36, 2 0 0
30.82, 2.901, 100, 1 2 1
30.92, 2.892, 48, 1 1 2
34.76, 2.581, 12, 2 1 1
37.48, 2.400, 12, 1 2 2
54.00, 1.698, 31, 3 2 1
58.52, 1.577, 11, 2 4 0


6.
Starting from the GGA-PBE geometry in Alexandria, the powder X-ray diffraction pattern of Pm5Nd2YMg was calculated for Cu Kα, 1.54184 Å.
Lines closer than 0.1° are merged.

Atomic structure:
Lattice parameters (Å, degrees): 5.560 20.196 10.858 90.00 90.00 90.00
Space group Cmcm (No. 63)
Unique sites:
Pm  0.000  0.000  0.000 x4
Pm  0.000  0.119  0.250 x4
Pm  0.000  0.211  0.550 x8
Pm  0.000  0.485  0.250 x4
Nd  0.000  0.385  0.540 x8
Y  0.000  0.298  0.250 x4
Mg  0.000  0.095  0.750 x4

Top 10 peaks for 2θ = 10–90°, low angle first:
Position (°2θ), d (Å), I_rel, index
26.49, 3.364, 16, 1 3 2
27.75, 3.215, 16, 0 6 1
29.79, 3.000, 39, 1 1 3
31.97, 2.800, 100, 1 5 2
32.20, 2.780, 34, 2 0 0
33.00, 2.714, 16, 0 0 4
46.77, 1.942, 12, 2 0 4
49.98, 1.825, 11, 0 6 5
57.27, 1.609, 19, 3 5 2
60.71, 1.526, 13, 2 6 5


7.
Starting from the GGA-PBE geometry in Alexandria, the powder X-ray diffraction pattern of Pm4Nd2Y2Mg was calculated for Cu Kα, 1.54184 Å.
Lines closer than 0.1° are merged.

Atomic structure:
Lattice parameters (Å, degrees): 6.543 6.576 7.600 74.97 74.46 86.59
Space group P-1 (No. 2)
Unique sites:
Pm  0.169  0.204  0.304 x2
Pm  0.320  0.667  0.402 x2
Nd  0.135  0.181  0.782 x2
Y  0.291  0.629  0.894 x2
Mg  0.500  0.000  0.000 x1

Top 10 peaks for 2θ = 10–90°, low angle first:
Position (°2θ), d (Å), I_rel, index
25.47, 3.498, 17, 0 1 2
25.86, 3.445, 21, 1 1 2
28.10, 3.175, 21, 0 2 0
28.32, 3.152, 17, 2 0 0
31.56, 2.835, 42, 2 -1 0
31.69, 2.824, 41, 1 2 0
31.84, 2.811, 18, 2 1 0
32.06, 2.792, 100, 1 0 -2
32.77, 2.733, 39, 0 2 2
33.14, 2.703, 35, 2 1 2


8.
Starting from the GGA-PBE geometry in Alexandria, the powder X-ray diffraction pattern of PmNd2Y4Mg was calculated for Cu Kα, 1.54184 Å.
Lines closer than 0.1° are merged.

Atomic structure:
Lattice parameters (Å, degrees): 5.021 5.021 10.257 90.00 90.00 90.00
Space group P4/mmm (No. 123)
Unique sites:
Pm  0.000  0.000  0.000 x1
Nd  0.000  0.000  0.500 x1
Nd  0.500  0.500  0.000 x1
Y  0.000  0.500  0.254 x4
Mg  0.500  0.500  0.500 x1

Top 10 peaks for 2θ = 10–90°, low angle first:
Position (°2θ), d (Å), I_rel, index
19.69, 4.509, 6, 1 0 1
30.63, 2.919, 100, 1 1 2
34.99, 2.564, 17, 0 0 4
35.77, 2.510, 33, 2 0 0
50.90, 1.794, 24, 2 0 4
51.48, 1.775, 12, 2 2 0
60.07, 1.540, 14, 1 1 6
61.10, 1.517, 28, 3 1 2
63.77, 1.460, 12, 2 2 4
83.01, 1.163, 11, 3 1 6


9.
Starting from the GGA-PBE geometry in Alexandria, the powder X-ray diffraction pattern of PmNd2Y2Mg was calculated for Cu Kα, 1.54184 Å.
Lines closer than 0.1° are merged.

Atomic structure:
Lattice parameters (Å, degrees): 10.511 11.980 3.625 90.00 90.00 90.00
Space group Pnnm (No. 58)
Unique sites:
Pm  0.000  0.000  0.000 x2
Nd  0.089  0.227  0.500 x4
Y  0.244  0.435  0.000 x4
Mg  0.000  0.500  0.500 x2

Top 10 peaks for 2θ = 10–90°, low angle first:
Position (°2θ), d (Å), I_rel, index
11.20, 7.901, 83, 1 1 0
18.44, 4.813, 87, 2 1 0
29.83, 2.995, 32, 0 4 0
30.04, 2.975, 100, 1 2 1
30.88, 2.896, 74, 2 1 1
34.48, 2.601, 74, 1 3 1
36.44, 2.465, 58, 3 1 1
37.37, 2.406, 46, 4 2 0
37.63, 2.390, 34, 2 3 1
52.74, 1.736, 35, 3 5 1


10.
Starting from the GGA-PBE geometry in Alexandria, the powder X-ray diffraction pattern of PrNdMg4 was calculated for Cu Kα, 1.54184 Å.
Lines closer than 0.1° are merged.

Atomic structure:
Lattice parameters (Å, degrees): 8.692 8.692 8.692 90.00 90.00 90.00
Space group F-43m (No. 216)
Unique sites:
Pr  0.000  0.000  0.000 x4
Nd  0.250  0.250  0.250 x4
Mg  0.125  0.125  0.625 x16

Top 10 peaks for 2θ = 10–90°, low angle first:
Position (°2θ), d (Å), I_rel, index
17.67, 5.018, 59, 1 1 1
29.06, 3.073, 98, 2 2 0
34.21, 2.621, 100, 3 1 1
45.49, 1.994, 16, 3 3 1
51.51, 1.774, 40, 4 2 2
54.89, 1.673, 34, 5 1 1
60.23, 1.537, 23, 4 4 0
68.24, 1.374, 17, 6 2 0
83.17, 1.162, 20, 6 4 2
85.89, 1.132, 21, 7 3 1


11.
Starting from the GGA-PBE geometry in Alexandria, the powder X-ray diffraction pattern of PrNd7Mg2 was calculated for Cu Kα, 1.54184 Å.
Lines closer than 0.1° are merged.

Atomic structure:
Lattice parameters (Å, degrees): 8.918 3.444 11.776 90.00 111.12 90.00
Space group P2/m (No. 10)
Unique sites:
Pr  0.000  0.000  0.000 x1
Nd  0.000  0.500  0.500 x1
Nd  0.194  0.500  0.807 x2
Nd  0.220  0.500  0.309 x2
Nd  0.398  0.000  0.616 x2
Mg  0.400  0.500  0.102 x2

Top 10 peaks for 2θ = 10–90°, low angle first:
Position (°2θ), d (Å), I_rel, index
28.07, 3.179, 16, 1 1 0
30.30, 2.950, 26, 1 1 1
30.42, 2.939, 100, 3 0 -2
30.64, 2.918, 11, 0 1 2
31.30, 2.857, 37, 2 0 2
32.86, 2.725, 11, 2 1 -1
33.79, 2.653, 13, 2 1 0
37.00, 2.430, 13, 2 1 -3
49.23, 1.851, 10, 4 1 -1
62.50, 1.486, 22, 3 2 -2


12.
Starting from the GGA-PBE geometry in Alexandria, the powder X-ray diffraction pattern of PrNd5Mg was calculated for Cu Kα, 1.54184 Å.
Lines closer than 0.1° are merged.

Atomic structure:
Lattice parameters (Å, degrees): 8.813 9.830 11.983 90.00 111.48 90.00
Space group C2/c (No. 15)
Unique sites:
Pr  0.000  0.247  0.250 x4
Nd  0.000  0.110  0.750 x4
Nd  0.108  0.431  0.652 x8
Nd  0.175  0.086  0.538 x8
Mg  0.250  0.250  0.000 x4

Top 10 peaks for 2θ = 10–90°, low angle first:
Position (°2θ), d (Å), I_rel, index
18.03, 4.920, 19, 1 1 1
28.36, 3.147, 11, 2 2 -2
31.22, 2.865, 37, 1 1 -4
31.49, 2.841, 100, 2 0 2
31.66, 2.826, 35, 2 2 -3
32.06, 2.792, 38, 3 1 -2
44.62, 2.031, 12, 0 2 5
45.29, 2.002, 11, 2 4 -3
45.85, 1.979, 10, 4 2 -1
56.02, 1.642, 16, 3 3 3


13.
Starting from the GGA-PBE geometry in Alexandria, the powder X-ray diffraction pattern of Pr2Nd3Mg2 was calculated for Cu Kα, 1.54184 Å.
Lines closer than 0.1° are merged.

Atomic structure:
Lattice parameters (Å, degrees): 11.878 5.532 6.919 90.00 92.26 90.00
Space group C2/m (No. 12)
Unique sites:
Pr  0.100  0.000  0.313 x4
Nd  0.000  0.500  0.000 x2
Nd  0.207  0.000  0.831 x4
Mg  0.121  0.500  0.572 x4

Top 10 peaks for 2θ = 10–90°, low angle first:
Position (°2θ), d (Å), I_rel, index
21.72, 4.092, 24, 1 1 -1
27.72, 3.218, 40, 3 1 0
30.44, 2.937, 23, 2 0 2
31.03, 2.882, 83, 3 1 1
31.18, 2.868, 100, 1 1 -2
32.36, 2.766, 89, 0 2 0
46.42, 1.956, 30, 4 2 -1
56.95, 1.617, 33, 1 3 -2
57.07, 1.614, 17, 5 1 -3
59.39, 1.556, 24, 5 1 3